Record 1
Structure and simulated powder X-ray diffraction pattern of CeNd2DyP4 (a PBE-relaxed structure; Cu Kα (weighted mean of Kα1 and Kα2)).

Crystal structure
```
data_CeNd2DyP4
_chemical_formula_sum 'Ce1 Nd2 Dy1 P4'
_space_group_name_H-M_alt 'P 1 2/m 1'
_space_group_IT_number 10
_space_group_name_Hall '-P 2y'
_cell_length_a 7.0970
_cell_length_b 4.1053
_cell_length_c 7.1137
_cell_angle_alpha 90.00
_cell_angle_beta 109.39
_cell_angle_gamma 90.00
loop_
_atom_site_label
_atom_site_fract_x
_atom_site_fract_y
_atom_site_fract_z
Ce1 0.0000 0.0000 0.0000
Nd1 0.0000 0.5000 0.5000
Nd2 0.5000 0.0000 0.5000
Dy1 0.5000 0.5000 0.0000
P1 0.2477 0.5000 0.2410
P2 0.2531 0.0000 0.7600
```

Main lines, most intense first (2θ = 10–80°):
- 2θ 30.81, d 2.902, rel. 100.0, (1 1 1)
- 2θ 26.60, d 3.351, rel. 81.0, (0 0 2)
- 2θ 44.13, d 2.052, rel. 73.2, (0 2 0)
- 2θ 52.26, d 1.751, rel. 30.1, (1 1 3)
- 2θ 72.85, d 1.298, rel. 21.8, (1 3 1)
- 2θ 54.77, d 1.676, rel. 19.2, (2 2 -2)
- 2θ 72.97, d 1.297, rel. 10.9, (4 2 0)
- 2θ 70.72, d 1.332, rel. 10.8, (2 0 4)


Record 2
Structure and simulated powder X-ray diffraction pattern of CeNd2Dy3S6 (a PBE-relaxed structure; Cu Kα (weighted mean of Kα1 and Kα2)).

Crystal structure
```
data_CeNd2Dy3S6
_chemical_formula_sum 'Ce2 Nd4 Dy6 S12'
_space_group_name_H-M_alt 'C 1 2/m 1'
_space_group_IT_number 12
_space_group_name_Hall '-C 2y'
_cell_length_a 17.4093
_cell_length_b 3.9496
_cell_length_c 8.0334
_cell_angle_alpha 90.00
_cell_angle_beta 104.15
_cell_angle_gamma 90.00
loop_
_atom_site_label
_atom_site_fract_x
_atom_site_fract_y
_atom_site_fract_z
Ce1 0.0000 0.0000 0.0000
Nd1 0.1659 0.5000 0.3315
Dy1 0.0000 0.0000 0.5000
Dy2 0.1671 0.5000 0.8350
S1 0.0037 0.5000 0.7433
S2 0.1637 0.0000 0.5923
S3 0.1694 0.0000 0.0746
```

Main lines, most intense first (2θ = 10–80°):
- 2θ 31.79, d 2.815, rel. 100.0, (6 0 0)
- 2θ 27.59, d 3.233, rel. 38.5, (3 1 0)
- 2θ 45.34, d 2.000, rel. 24.3, (7 1 -2)
- 2θ 45.81, d 1.981, rel. 23.7, (5 1 2)
- 2θ 27.09, d 3.291, rel. 20.3, (4 0 -2)
- 2θ 27.47, d 3.247, rel. 19.5, (2 0 2)
- 2θ 54.15, d 1.694, rel. 12.8, (9 1 0)
- 2θ 56.97, d 1.616, rel. 12.3, (6 2 0)


Record 3
Structure and simulated powder X-ray diffraction pattern of CeNd6DyY2 (a PBE-relaxed structure; Cu Kα (weighted mean of Kα1 and Kα2)).

Crystal structure
```
data_CeNd6DyY2
_chemical_formula_sum 'Ce2 Nd12 Dy2 Y4'
_space_group_name_H-M_alt 'C 1 2/m 1'
_space_group_IT_number 12
_space_group_name_Hall '-C 2y'
_cell_length_a 11.3519
_cell_length_b 7.0904
_cell_length_c 8.8802
_cell_angle_alpha 90.00
_cell_angle_beta 103.66
_cell_angle_gamma 90.00
loop_
_atom_site_label
_atom_site_fract_x
_atom_site_fract_y
_atom_site_fract_z
Ce1 0.0000 0.0000 0.0000
Nd1 0.1270 0.0000 0.4181
Nd2 0.1707 0.2670 0.7967
Dy1 0.0000 0.5000 0.5000
Y1 0.0932 0.5000 0.1647
```

Main lines, most intense first (2θ = 10–80°):
- 2θ 30.44, d 2.937, rel. 100.0, (2 2 -1)
- 2θ 32.69, d 2.739, rel. 79.0, (0 2 2)
- 2θ 27.06, d 3.295, rel. 71.4, (3 1 -1)
- 2θ 29.96, d 2.982, rel. 64.5, (2 2 0)
- 2θ 29.13, d 3.065, rel. 61.4, (2 0 2)
- 2θ 32.80, d 2.731, rel. 45.9, (1 1 -3)
- 2θ 33.01, d 2.714, rel. 44.2, (2 2 1)
- 2θ 31.26, d 2.861, rel. 43.3, (3 1 1)